1.
For ErTm5In4, the PBE geometry in Alexandria gives the calculated powder X-ray diffraction pattern in this record (copper Kα).
Neutral-atom scattering factors, no anomalous dispersion.

Main lines, sorted by position (15 to 90 degrees two-theta):
2θ (°)	I_rel	index
32.9	1000	1 0 5
36.0	417	1 1 0
42.2	104	0 0 10
51.8	147	2 0 0
56.6	174	1 1 10
62.7	309	2 1 5
68.9	96	2 0 10
87.4	68	3 1 0

Cell and atoms:
```
data_ErTm5In4
_chemical_formula_sum 'Er1 Tm5 In4'
_symmetry_space_group_name_H-M 'P 4/m m m'
_symmetry_Int_Tables_number 123
_symmetry_space_group_name_Hall '-P 4 2'
_cell_length_a 3.529
_cell_length_b 3.529
_cell_length_c 21.420
_cell_angle_alpha 90.00
_cell_angle_beta 90.00
_cell_angle_gamma 90.00
loop_
_atom_site_label
_atom_site_type_symbol
_atom_site_fract_x
_atom_site_fract_y
_atom_site_fract_z
Er1 Er 0.000 0.000 0.000
Tm1 Tm 0.500 0.500 0.113
Tm2 Tm 0.500 0.500 0.306
Tm3 Tm 0.500 0.500 0.500
In1 In 0.000 0.000 0.210
In2 In 0.000 0.000 0.403
```

=====

2.
For Ho3ScSi2C, the PBE geometry in Alexandria gives the calculated powder X-ray diffraction pattern in this record (copper Kα).
Neutral-atom scattering factors, no anomalous dispersion.

Main lines, sorted by position (15 to 90 degrees two-theta):
2θ (°)	I_rel	index
21.0	580	1 0 1
26.3	775	0 1 3
30.5	1000	1 1 2
35.9	381	0 0 6
37.0	745	1 1 4
39.1	338	0 2 0
40.9	298	2 0 0
49.3	298	2 1 3

Cell and atoms:
```
data_Ho3ScSi2C
_chemical_formula_sum 'Ho6 Sc2 Si4 C2'
_symmetry_space_group_name_H-M 'I m m m'
_symmetry_Int_Tables_number 71
_symmetry_space_group_name_Hall '-I 2 2'
_cell_length_a 4.415
_cell_length_b 4.606
_cell_length_c 15.008
_cell_angle_alpha 90.00
_cell_angle_beta 90.00
_cell_angle_gamma 90.00
loop_
_atom_site_label
_atom_site_type_symbol
_atom_site_fract_x
_atom_site_fract_y
_atom_site_fract_z
Ho1 Ho 0.000 0.000 0.000
Ho2 Ho 0.000 0.500 0.167
Sc1 Sc 0.000 0.000 0.500
Si1 Si 0.000 0.500 0.365
C1 C 0.000 0.500 0.000
```

=====

3.
For Pm2Th3Ga4, the PBE geometry in Alexandria gives the calculated powder X-ray diffraction pattern in this record (copper Kα).
Neutral-atom scattering factors, no anomalous dispersion.

Main lines, sorted by position (15 to 90 degrees two-theta):
2θ (°)	I_rel	index
25.9	365	1 1 -2
28.1	445	2 0 -2
31.6	854	2 2 -1
31.7	1000	1 1 2
31.9	906	2 2 0
35.2	541	0 3 1
36.6	666	1 1 -3
53.0	439	3 3 1

Cell and atoms:
```
data_Pm2Th3Ga4
_chemical_formula_sum 'Pm4 Th6 Ga8'
_symmetry_space_group_name_H-M 'P 1 21/c 1'
_symmetry_Int_Tables_number 14
_symmetry_space_group_name_Hall '-P 2ybc'
_cell_length_a 8.107
_cell_length_b 8.143
_cell_length_c 7.724
_cell_angle_alpha 90.00
_cell_angle_beta 107.05
_cell_angle_gamma 90.00
loop_
_atom_site_label
_atom_site_type_symbol
_atom_site_fract_x
_atom_site_fract_y
_atom_site_fract_z
Pm1 Pm 0.190 0.178 0.076
Th1 Th 0.242 0.681 0.251
Th2 Th 0.500 0.000 0.500
Ga1 Ga 0.078 0.529 0.867
Ga2 Ga 0.486 0.123 0.878
```

=====

4.
For MnGaPPt, the PBE geometry in Alexandria gives the calculated powder X-ray diffraction pattern in this record (copper Kα).
Neutral-atom scattering factors, no anomalous dispersion.

Main lines, sorted by position (15 to 90 degrees two-theta):
2θ (°)	I_rel	index
17.9	694	0 0 1
21.7	735	1 0 0
31.4	853	0 1 0
31.6	741	1 0 1
36.4	1000	0 1 1
37.5	952	1 0 -2
40.3	775	1 1 -1
45.2	992	1 1 1

Cell and atoms:
```
data_MnGaPPt
_chemical_formula_sum 'Mn1 Ga1 P1 Pt1'
_symmetry_space_group_name_H-M 'P 1 m 1'
_symmetry_Int_Tables_number 6
_symmetry_space_group_name_Hall 'P -2y'
_cell_length_a 4.218
_cell_length_b 2.848
_cell_length_c 5.109
_cell_angle_alpha 90.00
_cell_angle_beta 104.30
_cell_angle_gamma 90.00
loop_
_atom_site_label
_atom_site_type_symbol
_atom_site_fract_x
_atom_site_fract_y
_atom_site_fract_z
Mn1 Mn 0.000 0.000 0.000
Ga1 Ga 0.472 0.500 0.824
P1 P 0.317 0.500 0.286
Pt1 Pt 0.878 0.500 0.494
```

=====

5.
For Tb6Y5Ho2, the PBE geometry in Alexandria gives the calculated powder X-ray diffraction pattern in this record (copper Kα).
Neutral-atom scattering factors, no anomalous dispersion.

Main lines, sorted by position (15 to 90 degrees two-theta):
2θ (°)	I_rel	index
27.4	362	1 6 0
31.1	564	4 1 0
31.5	462	1 4 1
31.8	585	1 7 0
32.1	1000	2 3 1
34.3	315	2 4 1
36.6	290	3 3 1
61.2	239	1 7 2

Cell and atoms:
```
data_Tb6Y5Ho2
_chemical_formula_sum 'Tb12 Y10 Ho4'
_symmetry_space_group_name_H-M 'P b a m'
_symmetry_Int_Tables_number 55
_symmetry_space_group_name_Hall '-P 2 2ab'
_cell_length_a 11.613
_cell_length_b 20.300
_cell_length_c 3.592
_cell_angle_alpha 90.00
_cell_angle_beta 90.00
_cell_angle_gamma 90.00
loop_
_atom_site_label
_atom_site_type_symbol
_atom_site_fract_x
_atom_site_fract_y
_atom_site_fract_z
Tb1 Tb 0.062 0.080 0.000
Tb2 Tb 0.083 0.367 0.000
Tb3 Tb 0.171 0.636 0.500
Y1 Y 0.000 0.500 0.500
Y2 Y 0.091 0.226 0.500
Y3 Y 0.197 0.947 0.500
Ho1 Ho 0.167 0.790 0.000
```

=====

6.
For Rb2HoHgBr6, the PBE geometry in Alexandria gives the calculated powder X-ray diffraction pattern in this record (copper Kα).
Neutral-atom scattering factors, no anomalous dispersion.

Main lines, sorted by position (15 to 90 degrees two-theta):
2θ (°)	I_rel	index
15.1	776	1 0 1
15.2	429	0 2 0
21.5	669	1 2 1
30.4	1000	2 0 2
30.7	555	0 4 0
34.4	282	1 4 1
38.4	216	3 2 1
43.8	650	2 4 2

Cell and atoms:
```
data_Rb2HoHgBr6
_chemical_formula_sum 'Rb4 Ho2 Hg2 Br12'
_symmetry_space_group_name_H-M 'P m m n'
_symmetry_Int_Tables_number 59
_cell_length_a 8.034
_cell_length_b 11.646
_cell_length_c 8.606
_cell_angle_alpha 90.00
_cell_angle_beta 90.00
_cell_angle_gamma 90.00
loop_
_symmetry_equiv_pos_as_xyz
'x,y,z'
'-x,-y,-z'
'-x+1/2,-y+1/2,z'
'x+1/2,y+1/2,-z'
'x+1/2,-y,-z'
'-x+1/2,y,z'
'-x,y+1/2,-z'
'x,-y+1/2,z'
loop_
_atom_site_label
_atom_site_type_symbol
_atom_site_fract_x
_atom_site_fract_y
_atom_site_fract_z
Rb1 Rb 0.250 0.033 0.200
Ho1 Ho 0.250 0.750 0.776
Hg1 Hg 0.250 0.250 0.715
Br1 Br 0.005 0.250 0.441
Br2 Br 0.009 0.750 0.011
Br3 Br 0.250 0.511 0.784
```